Starting from a DFT-relaxed cell (GGA-PBE, Alexandria), the X-ray diffraction stick pattern of Na2SiTe3 was simulated for CuKα.
No peak broadening, texture or thermal motion is included.

Crystal structure
```
data_Na2SiTe3
_cell_length_a 7.197
_cell_length_b 15.185
_cell_length_c 15.756
_cell_angle_alpha 90.00
_cell_angle_beta 90.57
_cell_angle_gamma 90.00
_symmetry_space_group_name_H-M 'C 1 2/c 1'
_symmetry_Int_Tables_number 15
_symmetry_space_group_name_Hall '-C 2yc'
loop_
_atom_site_label
_atom_site_fract_x
_atom_site_fract_y
_atom_site_fract_z
Na1 0.225 0.216 0.199
Na2 0.242 0.019 0.570
Si1 0.242 0.016 0.838
Te1 0.000 0.106 0.750
Te2 0.000 0.438 0.750
Te3 0.103 0.120 0.398
Te4 0.118 0.368 0.071
```

Main lines, sorted by position (10 to 80 degrees two-theta):
h k l  2θ/deg  d/Å  I (rel.)
0 2 0  11.7  7.592  39
1 1 -2  17.6  5.037  48
1 1 -3  21.7  4.104  76
1 1 3  21.8  4.068  89
0 4 0  23.4  3.796  53
1 3 -2  24.2  3.673  45
1 3 -3  27.4  3.260  60
1 3 3  27.5  3.242  100
2 2 -1  28.0  3.190  51
2 2 1  28.1  3.179  54
0 0 6  34.1  2.626  36
2 6 1  44.1  2.051  35